[1]
# H3Se
Theoretical powder XRD pattern, a wavelength of 1.5418 Å. Input: a cell relaxed with PBE.

Most intense lines, 15° ≤ 2θ ≤ 90°, in order of rising 2θ:
- 20.00 deg, I = 100, (1 0 0)
- 24.51 deg, I = 58, (1 0 -1)
- 25.47 deg, I = 70, (1 0 1)
- 29.95 deg, I = 32, (0 0 2)
- 30.13 deg, I = 26, (1 1 -1)
- 34.92 deg, I = 28, (0 2 0)
- 38.13 deg, I = 45, (0 2 1)
- 39.80 deg, I = 23, (1 1 -2)
- 40.58 deg, I = 51, (1 2 0)
- 43.13 deg, I = 22, (1 2 -1)
- 43.72 deg, I = 28, (1 2 1)
- 46.61 deg, I = 30, (0 2 2)

Lattice parameters (Å, degrees): 4.4437 5.1392 5.9723 90.00 92.26 90.00
Space group P2_1/m (No. 11)
One atom of each set of equivalent atoms:
H (0.0584, 0.0222, 0.4604)
H (0.2067, 0.2500, 0.8765)
Se (0.4576, 0.2500, 0.0476)

[2]
# Dy3HoEr2S6
Theoretical powder XRD pattern, a wavelength of 1.5418 Å. Input: a cell relaxed with PBE.

Most intense lines, 15° ≤ 2θ ≤ 90°, in order of rising 2θ:
- 28.10 deg, I = 63, (0 0 2)
- 28.20 deg, I = 21, (2 0 0)
- 32.59 deg, I = 100, (1 3 1)
- 46.69 deg, I = 36, (0 6 0)
- 46.82 deg, I = 36, (2 0 2)
- 55.40 deg, I = 24, (2 6 0)
- 55.51 deg, I = 13, (3 3 1)
- 58.09 deg, I = 19, (0 0 4)
- 77.57 deg, I = 11, (1 9 1)
- 77.74 deg, I = 16, (4 6 0)
- 86.68 deg, I = 8, (3 9 -1)
- 86.78 deg, I = 10, (1 3 5)

Lattice parameters (Å, degrees): 6.7132 11.6817 6.7353 90.00 109.47 90.00
Space group C2/m (No. 12)
One atom of each set of equivalent atoms:
Dy (0.0000, 0.0000, 0.0000)
Dy (0.0000, 0.3339, 0.0000)
Ho (0.0000, 0.5000, 0.5000)
Er (0.0000, 0.1665, 0.5000)
S (0.2476, 0.0000, 0.7465)
S (0.2495, 0.3327, 0.7468)